Diffraction record for K14NaPb. The PXRD pattern is simulated, not measured: it uses a GGA-PBE-relaxed structure and Cu Ka.

The 10 most intense peaks (2θ = 15–90°), low angle first:
- 2θ = 23.4°, I = 11
- 2θ = 24.5°, I = 100
- 2θ = 26.5°, I = 11
- 2θ = 28.3°, I = 37
- 2θ = 28.6°, I = 13
- 2θ = 29.3°, I = 12
- 2θ = 40.4°, I = 13
- 2θ = 40.6°, I = 19
- 2θ = 47.8°, I = 28
- 2θ = 50.2°, I = 10

Structure:
```
K14NaPb
1.0
8.9318 0.0000 0.0000
0.0000 8.9318 0.0000
0.0000 0.0000 12.4813
K Na Pb
14 1 1
direct
0.0000 0.0000 0.0000 K
0.0000 0.5000 0.0000 K
0.0000 0.5000 0.5000 K
0.2370 0.2370 0.2841 K
0.2370 0.2370 0.7159 K
0.2370 0.7630 0.2841 K
0.2370 0.7630 0.7159 K
0.5000 0.0000 0.0000 K
0.5000 0.0000 0.5000 K
0.5000 0.5000 0.0000 K
0.7630 0.2370 0.2841 K
0.7630 0.2370 0.7159 K
0.7630 0.7630 0.2841 K
0.7630 0.7630 0.7159 K
0.5000 0.5000 0.5000 Na
0.0000 0.0000 0.5000 Pb
```

Diffraction record for PaNi3S3. The PXRD pattern is simulated, not measured: it uses a GGA-PBE-relaxed structure and Cu Ka.

The 10 most intense peaks (2θ = 15–90°), low angle first:
- 2θ = 16.5°, I = 33
- 2θ = 18.4°, I = 25
- 2θ = 31.1°, I = 100
- 2θ = 40.1°, I = 62
- 2θ = 43.6°, I = 17
- 2θ = 48.6°, I = 43
- 2θ = 52.3°, I = 14
- 2θ = 58.8°, I = 19
- 2θ = 64.8°, I = 15
- 2θ = 67.3°, I = 19

Structure:
```
PaNi3S3
1.0
3.2474 1.8749 6.2277
-3.2474 1.8749 6.2277
0.0000 -3.7498 6.2277
Pa Ni S
2 6 6
direct
0.1666 0.1666 0.1666 Pa
0.8334 0.8334 0.8334 Pa
0.0343 0.7162 0.3797 Ni
0.2838 0.6203 0.9657 Ni
0.3797 0.0343 0.7162 Ni
0.6203 0.9657 0.2838 Ni
0.7162 0.3797 0.0343 Ni
0.9657 0.2838 0.6203 Ni
0.0848 0.4111 0.7429 S
0.2571 0.9152 0.5889 S
0.4111 0.7429 0.0848 S
0.5889 0.2571 0.9152 S
0.7429 0.0848 0.4111 S
0.9152 0.5889 0.2571 S
```

Diffraction record for Cd5HPd6. The PXRD pattern is simulated, not measured: it uses a GGA-PBE-relaxed structure and Cu Ka.

The 10 most intense peaks (2θ = 15–90°), low angle first:
- 2θ = 37.1°, I = 100
- 2θ = 37.2°, I = 52
- 2θ = 38.8°, I = 44
- 2θ = 43.0°, I = 33
- 2θ = 43.3°, I = 33
- 2θ = 44.7°, I = 28
- 2θ = 61.6°, I = 11
- 2θ = 62.6°, I = 10
- 2θ = 63.7°, I = 10
- 2θ = 77.5°, I = 11

Structure:
```
Cd5HPd6
1.0
5.1931 0.0000 0.0000
-0.6908 6.3419 0.0000
-1.7754 -2.3880 5.9603
Cd H Pd
5 1 6
direct
0.0000 0.0000 0.0000 Cd
0.0763 0.7867 0.3712 Cd
0.4511 0.1056 0.8143 Cd
0.5387 0.8962 0.1875 Cd
0.6299 0.6792 0.5566 Cd
0.0268 0.4512 0.8567 H
0.1894 0.6310 0.7358 Pd
0.2782 0.4470 0.1049 Pd
0.3382 0.2432 0.4462 Pd
0.7300 0.5428 0.9247 Pd
0.8100 0.3377 0.2762 Pd
0.8933 0.1560 0.6305 Pd
```

Diffraction record for CaLaGaPt. The PXRD pattern is simulated, not measured: it uses a GGA-PBE-relaxed structure and Cu Ka.

The 10 most intense peaks (2θ = 15–90°), low angle first:
- 2θ = 15.3°, I = 72
- 2θ = 22.7°, I = 19
- 2θ = 31.0°, I = 100
- 2θ = 31.6°, I = 27
- 2θ = 37.5°, I = 37
- 2θ = 38.1°, I = 73
- 2θ = 42.4°, I = 23
- 2θ = 43.5°, I = 21
- 2θ = 58.7°, I = 20
- 2θ = 76.2°, I = 25

Structure:
```
CaLaGaPt
1.0
4.2664 0.0000 0.0000
0.0000 4.1606 0.0000
0.0000 0.0000 11.6178
Ca La Ga Pt
2 2 2 2
direct
0.0000 0.0000 0.0000 Ca
0.0000 0.5000 0.5000 Ca
0.5000 0.0000 0.7139 La
0.5000 0.5000 0.2139 La
0.5000 0.0000 0.4257 Ga
0.5000 0.5000 0.9257 Ga
0.0000 0.0000 0.2827 Pt
0.0000 0.5000 0.7827 Pt
```

Diffraction record for GeBiI5. The PXRD pattern is simulated, not measured: it uses a GGA-PBE-relaxed structure and Cu Ka.

The 10 most intense peaks (2θ = 15–90°), low angle first:
- 2θ = 21.4°, I = 23
- 2θ = 24.3°, I = 30
- 2θ = 25.0°, I = 30
- 2θ = 26.4°, I = 100
- 2θ = 28.8°, I = 29
- 2θ = 29.2°, I = 43
- 2θ = 29.6°, I = 24
- 2θ = 36.8°, I = 27
- 2θ = 41.2°, I = 33
- 2θ = 43.3°, I = 22

Structure:
```
GeBiI5
1.0
8.8471 0.0000 0.0000
0.0000 4.3827 0.0000
-2.1756 0.0000 18.3140
Ge Bi I
2 2 10
direct
0.1584 0.2500 0.0743 Ge
0.8416 0.7500 0.9257 Ge
0.3656 0.7500 0.3882 Bi
0.6344 0.2500 0.6118 Bi
0.0734 0.7500 0.3042 I
0.1131 0.2500 0.9241 I
0.2785 0.2500 0.5014 I
0.3768 0.7500 0.0858 I
0.4916 0.7500 0.7013 I
0.5084 0.2500 0.2987 I
0.6232 0.2500 0.9142 I
0.7215 0.7500 0.4986 I
0.8869 0.7500 0.0759 I
0.9266 0.2500 0.6958 I
```

Diffraction record for La3Dy5Tm4. The PXRD pattern is simulated, not measured: it uses a GGA-PBE-relaxed structure and Cu Ka.

The 10 most intense peaks (2θ = 15–90°), low angle first:
- 2θ = 29.6°, I = 93
- 2θ = 30.1°, I = 100
- 2θ = 31.2°, I = 90
- 2θ = 31.5°, I = 69
- 2θ = 32.2°, I = 36
- 2θ = 40.5°, I = 18
- 2θ = 45.0°, I = 52
- 2θ = 52.0°, I = 19
- 2θ = 54.6°, I = 16
- 2θ = 54.9°, I = 20

Structure:
```
La3Dy5Tm4
1.0
8.8756 -2.8653 0.0000
8.8756 2.8653 0.0000
-3.8802 0.0000 7.8370
La Dy Tm
3 5 4
direct
0.0000 0.0000 0.0000 La
0.3156 0.3156 0.7727 La
0.6844 0.6844 0.2273 La
0.0926 0.0926 0.4407 Dy
0.1611 0.1611 0.8896 Dy
0.5000 0.5000 0.0000 Dy
0.8389 0.8389 0.1104 Dy
0.9074 0.9074 0.5593 Dy
0.2914 0.2914 0.3535 Tm
0.4631 0.4631 0.3038 Tm
0.5369 0.5369 0.6962 Tm
0.7086 0.7086 0.6465 Tm
```

Diffraction record for NbVNi. The PXRD pattern is simulated, not measured: it uses a GGA-PBE-relaxed structure and Cu Ka.

The 10 most intense peaks (2θ = 15–90°), low angle first:
- 2θ = 40.9°, I = 100
- 2θ = 44.6°, I = 20
- 2θ = 45.3°, I = 17
- 2θ = 52.4°, I = 12
- 2θ = 65.4°, I = 11
- 2θ = 71.2°, I = 9
- 2θ = 71.8°, I = 8
- 2θ = 79.6°, I = 13
- 2θ = 80.6°, I = 10
- 2θ = 88.5°, I = 9

Structure:
```
NbVNi
1.0
3.4892 0.0000 0.0000
0.0000 4.0666 0.0000
0.0000 0.0000 12.0139
Nb V Ni
4 4 4
direct
0.0000 0.0000 0.0000 Nb
0.0000 0.5000 0.5000 Nb
0.5000 0.0000 0.5000 Nb
0.5000 0.5000 0.0000 Nb
0.0000 0.0000 0.3159 V
0.0000 0.5000 0.8159 V
0.5000 0.0000 0.8159 V
0.5000 0.5000 0.3159 V
0.0000 0.0000 0.6702 Ni
0.0000 0.5000 0.1702 Ni
0.5000 0.0000 0.1702 Ni
0.5000 0.5000 0.6702 Ni
```

Diffraction record for RbY2Br7. The PXRD pattern is simulated, not measured: it uses a GGA-PBE-relaxed structure and Cu Ka.

The 10 most intense peaks (2θ = 15–90°), low angle first:
- 2θ = 15.8°, I = 94
- 2θ = 19.7°, I = 57
- 2θ = 26.2°, I = 60
- 2θ = 31.6°, I = 71
- 2θ = 31.9°, I = 100
- 2θ = 32.4°, I = 39
- 2θ = 34.4°, I = 64
- 2θ = 35.1°, I = 64
- 2θ = 45.5°, I = 52
- 2θ = 48.2°, I = 51

Structure:
```
RbY2Br7
1.0
4.5112 -7.2680 0.0000
4.5112 7.2680 0.0000
0.0000 0.0000 5.6090
Rb Y Br
1 2 7
direct
0.0000 0.0000 0.0000 Rb
0.3024 0.6976 0.5000 Y
0.6976 0.3024 0.5000 Y
0.0485 0.3270 0.5000 Br
0.2968 0.7032 0.0000 Br
0.3270 0.0485 0.5000 Br
0.5000 0.5000 0.5000 Br
0.6730 0.9515 0.5000 Br
0.7032 0.2968 0.0000 Br
0.9515 0.6730 0.5000 Br
```

Diffraction record for Sm6ErTm3. The PXRD pattern is simulated, not measured: it uses a GGA-PBE-relaxed structure and Cu Ka.

The 10 most intense peaks (2θ = 15–90°), low angle first:
- 2θ = 25.2°, I = 31
- 2θ = 28.8°, I = 50
- 2θ = 31.2°, I = 100
- 2θ = 31.8°, I = 84
- 2θ = 34.3°, I = 61
- 2θ = 35.0°, I = 36
- 2θ = 49.1°, I = 25
- 2θ = 50.4°, I = 27
- 2θ = 54.8°, I = 31
- 2θ = 65.2°, I = 13

Structure:
```
Sm6ErTm3
1.0
8.4489 4.8780 2.6946
-8.4489 4.8780 2.6946
0.0000 -9.7559 2.6946
Sm Er Tm
12 2 6
direct
0.1487 0.2027 0.8481 Sm
0.1519 0.8513 0.7973 Sm
0.2027 0.8481 0.1487 Sm
0.2973 0.3513 0.6519 Sm
0.3481 0.7027 0.6487 Sm
0.3513 0.6519 0.2973 Sm
0.6487 0.3481 0.7027 Sm
0.6519 0.2973 0.3513 Sm
0.7027 0.6487 0.3481 Sm
0.7973 0.1519 0.8513 Sm
0.8481 0.1487 0.2027 Sm
0.8513 0.7973 0.1519 Sm
0.2500 0.2500 0.2500 Er
0.7500 0.7500 0.7500 Er
0.0380 0.4620 0.7500 Tm
0.2500 0.9620 0.5380 Tm
0.4620 0.7500 0.0380 Tm
0.5380 0.2500 0.9620 Tm
0.7500 0.0380 0.4620 Tm
0.9620 0.5380 0.2500 Tm
```

Diffraction record for Pr4TlIn. The PXRD pattern is simulated, not measured: it uses a GGA-PBE-relaxed structure and Cu Ka.

The 10 most intense peaks (2θ = 15–90°), low angle first:
- 2θ = 31.3°, I = 45
- 2θ = 31.4°, I = 98
- 2θ = 31.8°, I = 100
- 2θ = 32.2°, I = 53
- 2θ = 41.1°, I = 16
- 2θ = 45.5°, I = 32
- 2θ = 56.5°, I = 23
- 2θ = 56.9°, I = 19
- 2θ = 57.1°, I = 19
- 2θ = 62.2°, I = 28

Structure:
```
Pr4TlIn
1.0
5.5645 0.0000 0.0000
0.0000 7.0380 0.0000
0.0000 0.0000 9.7822
Pr Tl In
8 2 2
direct
0.2500 0.0110 0.2247 Pr
0.2500 0.2500 0.9018 Pr
0.2500 0.4890 0.2247 Pr
0.2500 0.7500 0.5771 Pr
0.7500 0.2500 0.4229 Pr
0.7500 0.5110 0.7753 Pr
0.7500 0.7500 0.0982 Pr
0.7500 0.9890 0.7753 Pr
0.2500 0.2500 0.5786 Tl
0.7500 0.7500 0.4214 Tl
0.2500 0.7500 0.9132 In
0.7500 0.2500 0.0868 In
```